Starting from a PBE-relaxed structure, the PXRD pattern of ErTm12Tl3 was calculated for a wavelength of 1.5418 Å.
Kinematic intensities with the Lorentz-polarization factor, no thermal factor.

Crystal structure
Cell lengths 4.8057, 4.8057, 19.5390 Å; angles 90.00, 90.00, 90.00 degrees
Fractional coordinates of all 16 atoms:
Er (0.0000, 0.0000, 0.0000)
Tm (0.0000, 0.5000, 0.1289)
Tm (0.0000, 0.5000, 0.3771)
Tm (0.0000, 0.5000, 0.6229)
Tm (0.0000, 0.5000, 0.8711)
Tm (0.5000, 0.0000, 0.1289)
Tm (0.5000, 0.0000, 0.3771)
Tm (0.5000, 0.0000, 0.6229)
Tm (0.5000, 0.0000, 0.8711)
Tm (0.5000, 0.5000, 0.0000)
Tm (0.5000, 0.5000, 0.2544)
Tm (0.5000, 0.5000, 0.5000)
Tm (0.5000, 0.5000, 0.7456)
Tl (0.0000, 0.0000, 0.2560)
Tl (0.0000, 0.0000, 0.5000)
Tl (0.0000, 0.0000, 0.7440)

The 10 most intense peaks (10 to 90 degrees two-theta), in order of rising 2θ:
- 2.790 Å, 32.09 deg, I = 100, hkl 1 1 4
- 2.442 Å, 36.80 deg, I = 17, hkl 0 0 8
- 2.403 Å, 37.43 deg, I = 33, hkl 2 0 0
- 1.713 Å, 53.50 deg, I = 23, hkl 2 0 8
- 1.699 Å, 53.97 deg, I = 12, hkl 2 2 0
- 1.468 Å, 63.34 deg, I = 14, hkl 1 1 12
- 1.451 Å, 64.18 deg, I = 28, hkl 3 1 4
- 1.395 Å, 67.11 deg, I = 12, hkl 2 2 8
- 1.111 Å, 87.88 deg, I = 11, hkl 3 1 12
- 1.103 Å, 88.64 deg, I = 6, hkl 3 3 4